This entry pairs a crystal structure of NaNiO2 with its calculated XRD peak list. Radiation: a wavelength of 1.5418 Å. Structure: a cell relaxed with GGA+U.
No peak broadening, texture or thermal motion is included.

Structure:
abc: 3.041 5.070 11.046
angles: 103.19 95.91 91.34
Fractional positions:
Na1 0.110 0.467 0.251
Na2 0.371 0.034 0.749
Na3 0.629 0.966 0.251
Na4 0.890 0.533 0.749
Ni1 0.000 0.000 0.000
Ni2 0.250 0.250 0.500
Ni3 0.500 0.500 0.000
Ni4 0.750 0.750 0.500
O1 0.088 0.724 0.099
O2 0.174 0.881 0.403
O3 0.328 0.619 0.597
O4 0.473 0.770 0.902
O5 0.527 0.230 0.098
O6 0.672 0.381 0.403
O7 0.826 0.119 0.597
O8 0.912 0.276 0.901

Peak list (10 most intense, 10° ≤ 2θ ≤ 90°, by angle)
2θ (°)	I (rel.)	hkl
16.59	100	0 0 2
33.54	25	0 0 4
37.67	26	1 -1 2
38.36	23	1 1 1
38.52	23	-1 1 2
39.15	20	1 1 -3
39.34	37	0 2 -3
43.84	18	1 1 -4
49.57	19	0 2 3
63.87	20	0 2 -7